This entry pairs a crystal structure of Sr3Cu with its computed X-ray powder pattern. Radiation: Cu Kα, 1.54184 Å. Structure: a GGA-PBE-relaxed structure.
Peak positions follow from Bragg's law for the DFT cell and can differ from measured ones.

Structure:
```
Sr3Cu
1.0
4.373 0.000 0.000
-2.187 3.788 0.000
0.000 0.000 32.321
Sr Cu
9 3
direct
0.000 0.000 0.000
0.000 0.000 0.221
0.000 0.000 0.779
0.333 0.667 0.445
0.333 0.667 0.667
0.333 0.667 0.888
0.667 0.333 0.112
0.667 0.333 0.333
0.667 0.333 0.555
0.000 0.000 0.500
0.333 0.667 0.167
0.667 0.333 0.833
```

Top 8 peaks for 10 to 80 degrees two-theta, in order of rising 2θ:
- 26.0°, I = 100
- 27.3°, I = 26
- 30.5°, I = 17
- 32.4°, I = 22
- 36.5°, I = 19
- 41.3°, I = 38
- 46.0°, I = 22
- 67.5°, I = 17


This entry pairs a crystal structure of SrCu with its computed X-ray powder pattern. Radiation: Cu Kα, 1.54184 Å. Structure: a GGA-PBE-relaxed structure.
Peak positions follow from Bragg's law for the DFT cell and can differ from measured ones.

Structure:
```
SrCu
1.0
0.000 4.974 6.157
3.871 0.000 6.157
3.871 4.974 0.000
Sr Cu
4 4
direct
0.085 0.665 0.085
0.335 0.915 0.335
0.665 0.085 0.665
0.915 0.335 0.915
0.217 0.533 0.533
0.467 0.783 0.783
0.533 0.217 0.217
0.783 0.467 0.467
```

Top 8 peaks for 10 to 80 degrees two-theta, in order of rising 2θ:
- 27.2°, I = 34
- 29.0°, I = 100
- 29.2°, I = 87
- 30.2°, I = 71
- 36.1°, I = 30
- 36.7°, I = 77
- 41.7°, I = 66
- 52.9°, I = 44


This entry pairs a crystal structure of Sr2Cu3 with its computed X-ray powder pattern. Radiation: Cu Kα, 1.54184 Å. Structure: a GGA-PBE-relaxed structure.
Peak positions follow from Bragg's law for the DFT cell and can differ from measured ones.

Structure:
```
Sr2Cu3
1.0
4.387 0.000 0.000
-2.194 3.799 0.000
0.000 0.000 23.161
Sr Cu
6 9
direct
0.000 0.000 0.087
0.000 0.000 0.913
0.333 0.667 0.580
0.333 0.667 0.753
0.667 0.333 0.247
0.667 0.333 0.420
0.000 0.000 0.335
0.000 0.000 0.500
0.000 0.000 0.665
0.333 0.667 0.001
0.333 0.667 0.167
0.333 0.667 0.332
0.667 0.333 0.668
0.667 0.333 0.833
0.667 0.333 0.999
```

Top 8 peaks for 10 to 80 degrees two-theta, in order of rising 2θ:
- 30.4°, I = 100
- 36.0°, I = 58
- 41.2°, I = 73
- 47.1°, I = 16
- 52.0°, I = 21
- 55.8°, I = 16
- 64.3°, I = 36
- 68.4°, I = 18